This entry pairs a crystal structure of MnAg3P with its simulated powder XRD pattern. Radiation: CuKα. Structure: a crystal structure in Alexandria, relaxed with GGA-PBE.

Cell and atoms:
a = 4.7574 Å, b = 4.7574 Å, c = 4.7574 Å
α = 90.00°, β = 90.00°, γ = 90.00°
Space group Pm-3m (No. 221)
Asymmetric unit:
Mn 0.0000 0.0000 0.0000 x1
Ag 0.0000 0.5000 0.5000 x3
P 0.5000 0.5000 0.5000 x1

Principal peaks in the range 2θ = 5–70°, by intensity:
d/Å, I (rel.)
2.747, 100
2.379, 68
1.682, 44
1.434, 37
4.757, 18
1.373, 14

This entry pairs a crystal structure of Mn2AgPb with its simulated powder XRD pattern. Radiation: CuKα. Structure: a crystal structure in Alexandria, relaxed with GGA-PBE.

Cell and atoms:
a = 3.1708 Å, b = 3.1798 Å, c = 7.5623 Å
α = 90.00°, β = 90.10°, γ = 90.00°
Space group Pm (No. 6)
Asymmetric unit:
Mn 0.0000 0.0000 0.0000 x1
Mn 0.4981 0.5000 0.8009 x1
Ag 0.5016 0.5000 0.2160 x1
Pb 0.9982 0.0000 0.5291 x1

Principal peaks in the range 2θ = 5–70°, by intensity:
d/Å, I (rel.)
2.432, 100
2.245, 46
2.928, 45
7.562, 22
1.677, 16
2.521, 14

This entry pairs a crystal structure of ZrMnAgPd2 with its simulated powder XRD pattern. Radiation: CuKα. Structure: a crystal structure in Alexandria, relaxed with GGA-PBE.

Cell and atoms:
a = 4.5257 Å, b = 4.5257 Å, c = 4.7589 Å
α = 90.00°, β = 90.00°, γ = 90.00°
Space group P4/mmm (No. 123)
Asymmetric unit:
Zr 0.0000 0.0000 0.0000 x1
Mn 0.5000 0.5000 0.5000 x1
Ag 0.5000 0.5000 0.0000 x1
Pd 0.0000 0.5000 0.5000 x2

Principal peaks in the range 2θ = 5–70°, by intensity:
d/Å, I (rel.)
2.656, 100
2.263, 54
1.640, 38
2.379, 31
1.371, 25
1.600, 17